No. 1
Calculated PXRD pattern
Compound: HoErSi2Pt
Radiation: Cu Kα X-rays
Structure: a cell relaxed with PBE
Peak positions follow from Bragg's law for the DFT cell and can differ from measured ones.

Main lines, most intense first (2θ = 10–90°):
d_spacing	2θ (°)	I (rel.)	h k l
2.676	33.5	100	1 1 2
2.628	34.1	94	3 1 -2
2.181	41.4	79	3 1 1
2.138	42.3	56	0 2 0
3.263	27.3	49	1 1 -2
2.404	37.4	42	3 1 -3
2.626	34.1	39	1 1 -3
3.870	23.0	37	1 1 0
1.625	56.6	33	3 1 3
2.981	30.0	26	0 0 3

Structure:
Cell: 10.280 4.276 10.103 Å, 90.00 117.73 90.00°
Space group C2/m (No. 12)
Inequivalent atoms, fractional coordinates:
Ho1 0.189 0.000 0.108 (multiplicity 4)
Er1 0.007 0.000 0.326 (multiplicity 4)
Si1 0.018 0.500 0.887 (multiplicity 4)
Si2 0.139 0.500 0.557 (multiplicity 4)
Pt1 0.228 0.500 0.343 (multiplicity 4)

***

No. 2
Calculated PXRD pattern
Compound: HoErZn2Si2
Radiation: Cu Kα X-rays
Structure: a cell relaxed with PBE
Peak positions follow from Bragg's law for the DFT cell and can differ from measured ones.

Main lines, most intense first (2θ = 10–90°):
d_spacing	2θ (°)	I (rel.)	h k l
2.636	34.0	100	1 0 4
2.062	43.9	38	1 1 0
3.572	24.9	31	1 0 0
1.624	56.7	23	2 0 4
1.276	74.3	20	2 1 4
1.418	65.9	20	1 1 8
1.953	46.5	9	0 0 8
1.713	53.5	9	1 0 8
1.223	78.1	8	1 0 12
1.191	80.7	6	3 0 0

Structure:
Cell: 4.1243 4.1243 15.6209 Å, 90.00 90.00 120.00°
Space group P6_3/mmc (No. 194)
Inequivalent atoms, fractional coordinates:
Ho1 0.0000 0.0000 0.0000 (multiplicity 2)
Er1 0.0000 0.0000 0.2500 (multiplicity 2)
Zn1 0.3333 0.6667 0.1379 (multiplicity 4)
Si1 0.3333 0.6667 0.6182 (multiplicity 4)

***

No. 3
Calculated PXRD pattern
Compound: HoErZn2Sn2
Radiation: Cu Kα X-rays
Structure: a cell relaxed with PBE
Peak positions follow from Bragg's law for the DFT cell and can differ from measured ones.

Main lines, most intense first (2θ = 10–90°):
d_spacing	2θ (°)	I (rel.)	h k l
2.761	32.4	100	1 0 4
2.246	40.2	60	1 1 0
1.742	52.5	26	2 0 4
1.377	68.1	24	2 1 4
3.121	28.6	16	1 0 3
1.477	62.9	16	1 1 8
1.941	46.8	13	1 0 7
1.297	73.0	10	3 0 0
3.890	22.9	9	1 0 0
1.123	86.7	7	2 2 0

Structure:
Cell: 4.4919 4.4919 15.6820 Å, 90.00 90.00 120.00°
Space group P6_3/mmc (No. 194)
Inequivalent atoms, fractional coordinates:
Ho1 0.0000 0.0000 0.0000 (multiplicity 2)
Er1 0.0000 0.0000 0.2500 (multiplicity 2)
Zn1 0.3333 0.6667 0.1613 (multiplicity 4)
Sn1 0.3333 0.6667 0.6128 (multiplicity 4)

***

No. 4
Calculated PXRD pattern
Compound: Tb3Ho2Er
Radiation: Cu Kα X-rays
Structure: a cell relaxed with PBE
Peak positions follow from Bragg's law for the DFT cell and can differ from measured ones.

Main lines, most intense first (2θ = 10–90°):
d_spacing	2θ (°)	I (rel.)	h k l
2.702	33.2	100	0 2 2
2.962	30.2	45	3 1 1
2.853	31.4	35	0 0 4
1.505	61.6	30	6 0 4
1.771	51.6	26	6 0 0
2.388	37.7	25	3 1 3
1.616	57.0	21	0 2 6
1.481	62.7	16	6 2 2
1.136	85.5	14	3 5 2
1.111	87.9	12	6 0 8

Structure:
Cell: 10.625 6.135 11.412 Å, 90.00 90.00 90.00°
Space group Cmcm (No. 63)
Inequivalent atoms, fractional coordinates:
Tb1 0.000 0.000 0.000 (multiplicity 4)
Tb2 0.166 0.500 0.000 (multiplicity 8)
Ho1 0.167 0.167 0.250 (multiplicity 8)
Er1 0.000 0.333 0.750 (multiplicity 4)

***

No. 5
Calculated PXRD pattern
Compound: Ho5Er3Te
Radiation: Cu Kα X-rays
Structure: a cell relaxed with PBE
Peak positions follow from Bragg's law for the DFT cell and can differ from measured ones.

Main lines, most intense first (2θ = 10–90°):
d_spacing	2θ (°)	I (rel.)	h k l
2.900	30.8	100	1 1 1
2.641	33.9	78	3 0 0
2.723	32.9	55	2 0 1
2.994	29.8	39	2 1 0
1.636	56.2	37	3 2 1
1.529	60.6	29	3 0 2
2.340	38.5	27	2 1 1
1.875	48.6	16	0 0 2
1.953	46.5	13	2 2 1
1.460	63.8	13	5 0 1

Structure:
Cell: 9.1479 9.1479 3.7503 Å, 90.00 90.00 120.00°
Space group P-62m (No. 189)
Inequivalent atoms, fractional coordinates:
Ho1 0.0000 0.2745 0.0000 (multiplicity 3)
Ho2 0.3333 0.6667 0.0000 (multiplicity 2)
Er1 0.0000 0.6163 0.5000 (multiplicity 3)
Te1 0.0000 0.0000 0.5000 (multiplicity 1)

***

No. 6
Calculated PXRD pattern
Compound: HoErTlTe3
Radiation: Cu Kα X-rays
Structure: a cell relaxed with PBE
Peak positions follow from Bragg's law for the DFT cell and can differ from measured ones.

Main lines, most intense first (2θ = 10–90°):
d_spacing	2θ (°)	I (rel.)	h k l
3.202	27.9	100	1 3 1
2.985	29.9	63	0 0 4
2.904	30.8	50	1 3 2
2.342	38.4	48	0 6 2
2.551	35.2	41	1 3 3
1.939	46.8	32	1 3 5
3.324	26.8	32	1 3 0
2.194	41.2	30	2 0 0
1.601	57.6	30	2 6 2
1.768	51.7	28	2 0 4

Structure:
Cell: 4.387 15.280 11.941 Å, 90.00 90.00 90.00°
Space group Cmcm (No. 63)
Inequivalent atoms, fractional coordinates:
Ho1 0.000 0.065 0.250 (multiplicity 4)
Er1 0.000 0.500 0.000 (multiplicity 4)
Tl1 0.000 0.251 0.750 (multiplicity 4)
Te1 0.000 0.142 0.026 (multiplicity 8)
Te2 0.000 0.434 0.250 (multiplicity 4)

***

No. 7
Calculated PXRD pattern
Compound: Ho2ErTm
Radiation: Cu Kα X-rays
Structure: a cell relaxed with PBE
Peak positions follow from Bragg's law for the DFT cell and can differ from measured ones.

Main lines, most intense first (2θ = 10–90°):
d_spacing	2θ (°)	I (rel.)	h k l
2.701	33.2	100	1 4 0
2.776	32.2	24	2 0 0
3.091	28.9	24	0 4 0
1.501	61.8	22	2 6 2
1.588	58.1	20	3 4 0
1.785	51.2	20	0 6 2
1.489	62.4	16	1 8 0
2.065	43.8	16	2 4 0
1.143	84.8	14	1 10 2
1.096	89.4	9	4 6 2

Structure:
Cell: 5.553 12.364 7.138 Å, 90.00 90.00 90.00°
Space group Ama2 (No. 40)
Inequivalent atoms, fractional coordinates:
Ho1 0.250 0.083 0.000 (multiplicity 4)
Ho2 0.250 0.333 0.750 (multiplicity 4)
Er1 0.250 0.333 0.250 (multiplicity 4)
Tm1 0.250 0.083 0.500 (multiplicity 4)

***

No. 8
Calculated PXRD pattern
Compound: Ho2Er3Tm3
Radiation: Cu Kα X-rays
Structure: a cell relaxed with PBE
Peak positions follow from Bragg's law for the DFT cell and can differ from measured ones.

Main lines, most intense first (2θ = 10–90°):
d_spacing	2θ (°)	I (rel.)	h k l
2.697	33.2	100	2 0 1
3.090	28.9	24	2 0 0
2.764	32.4	24	0 0 2
1.499	61.9	22	2 2 2
1.583	58.3	20	2 0 3
1.784	51.2	20	2 2 0
1.488	62.4	16	4 0 1
2.060	44.0	15	2 0 2
1.143	84.9	14	4 2 1
1.092	89.8	9	2 2 4

Structure:
Cell: 7.1353 7.1353 5.5278 Å, 90.00 90.00 120.00°
Space group P-6m2 (No. 187)
Inequivalent atoms, fractional coordinates:
Ho1 0.0000 0.0000 0.0000 (multiplicity 1)
Ho2 0.3333 0.6667 0.5000 (multiplicity 1)
Er1 0.3337 0.1668 0.5000 (multiplicity 3)
Tm1 0.5003 0.0005 0.0000 (multiplicity 3)

***

No. 9
Calculated PXRD pattern
Compound: Ho2ErTm5
Radiation: Cu Kα X-rays
Structure: a cell relaxed with PBE
Peak positions follow from Bragg's law for the DFT cell and can differ from measured ones.

Main lines, most intense first (2θ = 10–90°):
d_spacing	2θ (°)	I (rel.)	h k l
2.693	33.3	100	1 2 2
3.085	28.9	24	0 2 2
2.759	32.5	24	2 0 0
1.496	62.0	22	2 4 0
1.580	58.4	20	3 2 2
1.781	51.3	20	0 4 0
1.486	62.5	16	1 4 4
2.057	44.0	15	2 2 2
1.141	85.0	14	1 6 2
1.091	90.0	9	4 4 0

Structure:
Cell: 5.518 7.124 12.340 Å, 90.00 90.00 90.00°
Space group Amm2 (No. 38)
Inequivalent atoms, fractional coordinates:
Ho1 0.000 0.000 0.000 (multiplicity 2)
Ho2 0.500 0.000 0.333 (multiplicity 2)
Er1 0.000 0.000 0.500 (multiplicity 2)
Tm1 0.000 0.250 0.250 (multiplicity 4)
Tm2 0.500 0.000 0.833 (multiplicity 2)
Tm3 0.500 0.250 0.083 (multiplicity 4)

***

No. 10
Calculated PXRD pattern
Compound: Y5Ho2Er
Radiation: Cu Kα X-rays
Structure: a cell relaxed with PBE
Peak positions follow from Bragg's law for the DFT cell and can differ from measured ones.

Main lines, most intense first (2θ = 10–90°):
d_spacing	2θ (°)	I (rel.)	h k l
2.741	32.7	100	1 0 4
3.140	28.4	24	0 2 2
2.812	31.8	24	2 0 0
1.524	60.8	22	2 4 0
1.813	50.3	20	0 4 0
1.609	57.2	20	3 0 4
2.095	43.2	16	2 2 2
1.512	61.3	16	1 4 4
1.161	83.2	13	1 2 10
1.111	87.9	8	4 4 0

Structure:
Cell: 5.623 7.251 12.560 Å, 90.00 90.00 90.00°
Space group Amm2 (No. 38)
Inequivalent atoms, fractional coordinates:
Y1 0.000 0.000 0.000 (multiplicity 2)
Y2 0.000 0.250 0.248 (multiplicity 4)
Y3 0.500 0.249 0.416 (multiplicity 4)
Ho1 0.000 0.000 0.500 (multiplicity 2)
Ho2 0.500 0.000 0.166 (multiplicity 2)
Er1 0.500 0.000 0.665 (multiplicity 2)

***

No. 11
Calculated PXRD pattern
Compound: YHoEr6
Radiation: Cu Kα X-rays
Structure: a cell relaxed with PBE
Peak positions follow from Bragg's law for the DFT cell and can differ from measured ones.

Main lines, most intense first (2θ = 10–90°):
d_spacing	2θ (°)	I (rel.)	h k l
2.714	33.0	100	2 0 1
3.107	28.7	24	2 0 0
2.789	32.1	24	0 0 2
1.509	61.5	22	2 2 2
1.595	57.8	20	2 0 3
1.794	50.9	20	2 2 0
1.497	62.0	16	4 0 1
2.075	43.6	16	2 0 2
1.149	84.3	14	4 2 1
1.101	88.9	8	2 2 4

Structure:
Cell: 7.1757 7.1757 5.5771 Å, 90.00 90.00 120.00°
Space group P-6m2 (No. 187)
Inequivalent atoms, fractional coordinates:
Y1 0.0000 0.0000 0.0000 (multiplicity 1)
Ho1 0.3333 0.6667 0.5000 (multiplicity 1)
Er1 0.3356 0.1678 0.5000 (multiplicity 3)
Er2 0.5010 0.0020 0.0000 (multiplicity 3)

***

No. 12
Calculated PXRD pattern
Compound: ErI3
Radiation: Cu Kα X-rays
Structure: a cell relaxed with PBE
Peak positions follow from Bragg's law for the DFT cell and can differ from measured ones.

Main lines, most intense first (2θ = 10–90°):
d_spacing	2θ (°)	I (rel.)	h k l
3.311	26.9	100	1 1 3
2.592	34.6	58	2 1 3
2.105	43.0	50	3 0 3
5.103	17.4	47	1 1 0
2.551	35.2	37	2 2 0
3.227	27.6	33	2 1 0
6.316	14.0	26	1 0 1
1.281	74.0	21	5 2 3
2.021	44.8	21	3 1 3
1.656	55.5	20	2 2 6

Structure:
Cell: 7.217 7.217 13.056 Å, 90.00 90.00 90.00°
Space group P4_2/mnm (No. 136)
Inequivalent atoms, fractional coordinates:
Er1 0.000 0.000 0.169 (multiplicity 4)
I1 0.200 0.200 0.000 (multiplicity 4)
I2 0.203 0.203 0.335 (multiplicity 8)